Diffraction record for CaAlH8Rh2. The powder X-ray diffraction pattern is simulated, not measured: it uses a structure optimized by DFT (PBE) and Cu Ka.
Neutral-atom scattering factors, no anomalous dispersion.

Peak list (10 most intense, 10 to 80 degrees two-theta, in order of rising 2θ)
2θ/deg  d (Å)  I/Imax
15.92  5.568  47
24.78  3.593  65
31.04  2.881  100
35.07  2.559  70
39.20  2.298  98
42.56  2.124  25
44.26  2.047  33
50.83  1.796  23
64.55  1.444  24
66.01  1.415  22

Cell and atoms:
Cell lengths 6.168, 6.168, 6.168 Å; angles 43.75, 43.75, 43.75 degrees
Positions (direct):
Ca 0.000 0.000 0.000
Al 0.500 0.500 0.500
H 0.119 0.557 0.557
H 0.311 0.311 0.311
H 0.443 0.443 0.881
H 0.443 0.881 0.443
H 0.557 0.119 0.557
H 0.557 0.557 0.119
H 0.689 0.689 0.689
H 0.881 0.443 0.443
Rh 0.215 0.215 0.215
Rh 0.785 0.785 0.785



Diffraction record for YbB2Ir3. The powder X-ray diffraction pattern is simulated, not measured: it uses a structure optimized by DFT (PBE) and Cu Ka.
Neutral-atom scattering factors, no anomalous dispersion.

Peak list (10 most intense, 10 to 80 degrees two-theta, in order of rising 2θ)
2θ/deg  d (Å)  I/Imax
30.35  2.945  15
35.58  2.523  51
36.75  2.446  100
44.44  2.038  31
48.37  1.882  28
58.99  1.566  24
66.18  1.412  19
75.33  1.262  25
77.46  1.232  11
78.17  1.223  12

Cell and atoms:
Cell lengths 5.648, 5.648, 2.945 Å; angles 90.00, 90.00, 120.00 degrees
Positions (direct):
Yb 0.000 0.000 0.000
B 0.333 0.667 0.000
B 0.667 0.333 0.000
Ir 0.000 0.500 0.500
Ir 0.500 0.000 0.500
Ir 0.500 0.500 0.500



Diffraction record for HoEr2Th2. The powder X-ray diffraction pattern is simulated, not measured: it uses a structure optimized by DFT (PBE) and Cu Ka.
Neutral-atom scattering factors, no anomalous dispersion.

Peak list (10 most intense, 10 to 80 degrees two-theta, in order of rising 2θ)
2θ/deg  d (Å)  I/Imax
30.87  2.896  100
31.12  2.874  33
35.78  2.510  23
35.92  2.500  45
51.40  1.778  16
51.80  1.765  24
61.27  1.513  10
61.35  1.511  19
61.53  1.507  14
61.72  1.503  9

Cell and atoms:
Cell lengths 14.520, 7.084, 6.165 Å; angles 90.00, 98.24, 90.00 degrees
Positions (direct):
Ho 0.198 0.127 0.149
Ho 0.198 0.373 0.649
Ho 0.802 0.627 0.351
Ho 0.802 0.873 0.851
Er 0.197 0.623 0.148
Er 0.197 0.877 0.648
Er 0.401 0.625 0.550
Er 0.401 0.875 0.050
Er 0.599 0.125 0.950
Er 0.599 0.375 0.450
Er 0.803 0.123 0.352
Er 0.803 0.377 0.852
Th 0.000 0.125 0.752
Th 0.000 0.375 0.252
Th 0.000 0.625 0.748
Th 0.000 0.875 0.248
Th 0.401 0.129 0.550
Th 0.401 0.371 0.050
Th 0.599 0.629 0.950
Th 0.599 0.871 0.450



Diffraction record for Tb2ScGa6. The powder X-ray diffraction pattern is simulated, not measured: it uses a structure optimized by DFT (PBE) and Cu Ka.
Neutral-atom scattering factors, no anomalous dispersion.

Peak list (10 most intense, 10 to 80 degrees two-theta, in order of rising 2θ)
2θ/deg  d (Å)  I/Imax
13.73  6.449  14
23.89  3.725  8
27.61  3.231  11
33.98  2.638  100
42.03  2.150  53
48.72  1.869  11
55.11  1.667  25
66.26  1.411  26
71.65  1.317  22
76.80  1.241  9

Cell and atoms:
Cell lengths 7.447, 7.447, 3.738 Å; angles 90.00, 90.00, 120.00 degrees
Positions (direct):
Tb 0.333 0.667 0.000
Tb 0.667 0.333 0.000
Sc 0.000 0.000 0.000
Ga 0.000 0.330 0.500
Ga 0.000 0.670 0.500
Ga 0.330 0.000 0.500
Ga 0.330 0.330 0.500
Ga 0.670 0.000 0.500
Ga 0.670 0.670 0.500



Diffraction record for Ce2Mg7. The powder X-ray diffraction pattern is simulated, not measured: it uses a structure optimized by DFT (PBE) and Cu Ka.
Neutral-atom scattering factors, no anomalous dispersion.

Peak list (10 most intense, 10 to 80 degrees two-theta, in order of rising 2θ)
2θ/deg  d (Å)  I/Imax
10.91  8.107  84
18.09  4.903  20
21.18  4.196  32
21.93  4.054  21
31.60  2.831  23
33.15  2.702  27
33.53  2.673  100
38.80  2.321  65
55.78  1.648  23
66.90  1.399  20

Cell and atoms:
Cell lengths 5.662, 5.662, 8.107 Å; angles 90.00, 90.00, 120.00 degrees
Positions (direct):
Ce 0.333 0.667 0.000
Ce 0.667 0.333 0.000
Mg 0.000 0.000 0.000
Mg 0.000 0.323 0.661
Mg 0.000 0.677 0.339
Mg 0.323 0.000 0.661
Mg 0.323 0.323 0.339
Mg 0.677 0.000 0.339
Mg 0.677 0.677 0.661



Diffraction record for Ti12Sn3Au. The powder X-ray diffraction pattern is simulated, not measured: it uses a structure optimized by DFT (PBE) and Cu Ka.
Neutral-atom scattering factors, no anomalous dispersion.

Peak list (10 most intense, 10 to 80 degrees two-theta, in order of rising 2θ)
2θ/deg  d (Å)  I/Imax
24.20  3.678  52
34.41  2.606  15
34.53  2.598  30
38.69  2.327  23
38.76  2.323  11
42.58  2.123  100
49.58  1.839  9
55.96  1.643  8
67.34  1.391  34
67.44  1.389  17

Cell and atoms:
Cell lengths 5.196, 5.212, 10.389 Å; angles 90.00, 90.00, 90.00 degrees
Positions (direct):
Ti 0.000 0.000 0.120
Ti 0.000 0.000 0.372
Ti 0.000 0.000 0.628
Ti 0.000 0.000 0.880
Ti 0.250 0.500 0.500
Ti 0.256 0.500 0.000
Ti 0.500 0.247 0.244
Ti 0.500 0.247 0.756
Ti 0.500 0.753 0.244
Ti 0.500 0.753 0.756
Ti 0.744 0.500 0.000
Ti 0.750 0.500 0.500
Sn 0.000 0.500 0.250
Sn 0.000 0.500 0.750
Sn 0.500 0.000 0.500
Au 0.500 0.000 0.000



Diffraction record for CeSi3Tc5. The powder X-ray diffraction pattern is simulated, not measured: it uses a structure optimized by DFT (PBE) and Cu Ka.
Neutral-atom scattering factors, no anomalous dispersion.

Peak list (10 most intense, 10 to 80 degrees two-theta, in order of rising 2θ)
2θ/deg  d (Å)  I/Imax
23.38  3.806  32
27.60  3.231  29
31.35  2.853  62
32.30  2.771  42
33.34  2.688  58
38.59  2.333  100
42.25  2.139  79
42.72  2.117  66
45.70  1.985  31
54.86  1.673  27

Cell and atoms:
Cell lengths 6.455, 6.455, 11.437 Å; angles 90.00, 90.00, 141.30 degrees
Positions (direct):
Ce 0.145 0.855 0.750
Ce 0.855 0.145 0.250
Si 0.150 0.850 0.250
Si 0.407 0.593 0.073
Si 0.407 0.593 0.427
Si 0.593 0.407 0.573
Si 0.593 0.407 0.927
Si 0.850 0.150 0.750
Tc 0.000 0.000 0.000
Tc 0.000 0.000 0.500
Tc 0.208 0.792 0.037
Tc 0.208 0.792 0.463
Tc 0.406 0.594 0.646
Tc 0.406 0.594 0.854
Tc 0.594 0.406 0.146
Tc 0.594 0.406 0.354
Tc 0.792 0.208 0.537
Tc 0.792 0.208 0.963



Diffraction record for Sn3SbAu3. The powder X-ray diffraction pattern is simulated, not measured: it uses a structure optimized by DFT (PBE) and Cu Ka.
Neutral-atom scattering factors, no anomalous dispersion.

Peak list (10 most intense, 10 to 80 degrees two-theta, in order of rising 2θ)
2θ/deg  d (Å)  I/Imax
19.46  4.562  28
29.17  3.061  60
31.81  2.814  100
34.03  2.634  40
39.92  2.259  20
41.24  2.189  44
41.51  2.175  37
43.70  2.071  41
46.57  1.950  20
47.27  1.923  34

Cell and atoms:
Cell lengths 7.882, 5.627, 8.288 Å; angles 90.00, 98.58, 90.00 degrees
Positions (direct):
Sn 0.098 0.250 0.117
Sn 0.099 0.250 0.702
Sn 0.368 0.750 0.856
Sn 0.632 0.250 0.144
Sn 0.901 0.750 0.298
Sn 0.902 0.750 0.883
Sb 0.414 0.750 0.466
Sb 0.586 0.250 0.534
Au 0.084 0.750 0.608
Au 0.194 0.750 0.142
Au 0.439 0.250 0.828
Au 0.561 0.750 0.172
Au 0.806 0.250 0.858
Au 0.916 0.250 0.392



Diffraction record for Mg2InAg5Hg. The powder X-ray diffraction pattern is simulated, not measured: it uses a structure optimized by DFT (PBE) and Cu Ka.
Neutral-atom scattering factors, no anomalous dispersion.

Peak list (10 most intense, 10 to 80 degrees two-theta, in order of rising 2θ)
2θ/deg  d (Å)  I/Imax
21.91  4.057  18
25.46  3.499  17
30.74  2.908  78
34.03  2.635  21
38.07  2.364  15
38.61  2.332  100
44.03  2.057  16
46.20  1.965  15
59.97  1.542  26
74.55  1.273  15

Cell and atoms:
Cell lengths 8.117, 8.117, 8.117 Å; angles 119.11, 119.11, 91.54 degrees
Positions (direct):
Mg 0.115 0.615 0.729
Mg 0.385 0.115 0.500
Mg 0.615 0.885 0.500
Mg 0.885 0.385 0.271
In 0.250 0.250 0.000
In 0.750 0.750 0.000
Ag 0.000 0.000 0.000
Ag 0.074 0.169 0.500
Ag 0.169 0.669 0.095
Ag 0.331 0.426 0.500
Ag 0.426 0.926 0.095
Ag 0.500 0.500 0.000
Ag 0.574 0.074 0.905
Ag 0.669 0.574 0.500
Ag 0.831 0.331 0.905
Ag 0.926 0.831 0.500
Hg 0.250 0.750 0.500
Hg 0.750 0.250 0.500



Diffraction record for CsCu2Rh2. The powder X-ray diffraction pattern is simulated, not measured: it uses a structure optimized by DFT (PBE) and Cu Ka.
Neutral-atom scattering factors, no anomalous dispersion.

Peak list (10 most intense, 10 to 80 degrees two-theta, in order of rising 2θ)
2θ/deg  d (Å)  I/Imax
28.89  3.091  37
32.94  2.720  100
33.72  2.658  84
41.31  2.186  77
45.54  1.992  24
48.38  1.881  32
53.81  1.704  48
59.85  1.545  25
65.46  1.426  26
70.48  1.336  18

Cell and atoms:
Cell lengths 6.058, 6.058, 6.058 Å; angles 137.71, 137.71, 61.35 degrees
Positions (direct):
Cs 0.000 0.000 0.000
Cu 0.250 0.750 0.500
Cu 0.750 0.250 0.500
Rh 0.374 0.374 0.000
Rh 0.626 0.626 0.000



Diffraction record for In3SnHgBi. The powder X-ray diffraction pattern is simulated, not measured: it uses a structure optimized by DFT (PBE) and Cu Ka.
Neutral-atom scattering factors, no anomalous dispersion.

Peak list (10 most intense, 10 to 80 degrees two-theta, in order of rising 2θ)
2θ/deg  d (Å)  I/Imax
11.25  7.862  19
28.03  3.183  18
31.95  2.801  100
33.31  2.690  90
34.21  2.621  44
34.48  2.602  35
44.18  2.050  22
57.04  1.615  20
57.21  1.610  16
58.98  1.566  17

Cell and atoms:
Cell lengths 8.485, 4.100, 10.435 Å; angles 90.00, 112.08, 90.00 degrees
Positions (direct):
In 0.153 0.250 0.307
In 0.165 0.750 0.564
In 0.172 0.750 0.068
In 0.828 0.250 0.932
In 0.835 0.250 0.436
In 0.847 0.750 0.693
Sn 0.172 0.250 0.826
Sn 0.828 0.750 0.174
Hg 0.495 0.750 0.879
Hg 0.505 0.250 0.121
Bi 0.497 0.250 0.622
Bi 0.503 0.750 0.378



Diffraction record for K3Nd2PbO6. The powder X-ray diffraction pattern is simulated, not measured: it uses a structure optimized by DFT (PBE) and Cu Ka.
Neutral-atom scattering factors, no anomalous dispersion.

Peak list (10 most intense, 10 to 80 degrees two-theta, in order of rising 2θ)
2θ/deg  d (Å)  I/Imax
14.00  6.327  89
28.21  3.164  31
28.77  3.103  41
29.93  2.986  75
34.20  2.622  100
44.09  2.054  19
48.03  1.894  34
50.24  1.816  32
52.42  1.746  20
58.61  1.575  25

Cell and atoms:
Cell lengths 6.291, 6.291, 6.663 Å; angles 99.03, 99.03, 119.99 degrees
Positions (direct):
K 0.000 0.000 0.000
K 0.338 0.662 0.000
K 0.662 0.338 0.000
Nd 0.167 0.833 0.500
Nd 0.833 0.167 0.500
Pb 0.500 0.500 0.500
O 0.094 0.434 0.303
O 0.225 0.225 0.697
O 0.434 0.094 0.303
O 0.566 0.906 0.697
O 0.775 0.775 0.303
O 0.906 0.566 0.697



Diffraction record for PtNO4. The powder X-ray diffraction pattern is simulated, not measured: it uses a structure optimized by DFT (PBE) and Cu Ka.
Neutral-atom scattering factors, no anomalous dispersion.

Peak list (10 most intense, 10 to 80 degrees two-theta, in order of rising 2θ)
2θ/deg  d (Å)  I/Imax
18.72  4.740  100
26.09  3.415  91
32.14  2.785  64
32.47  2.758  64
37.04  2.427  21
37.42  2.404  21
37.96  2.370  20
41.85  2.159  52
46.88  1.938  28
53.67  1.708  18

Cell and atoms:
Cell lengths 4.741, 4.854, 4.808 Å; angles 90.00, 90.84, 90.00 degrees
Positions (direct):
Pt 0.000 0.000 0.000
Pt 0.000 0.500 0.500
N 0.500 0.000 0.500
N 0.500 0.500 0.000
O 0.152 0.142 0.641
O 0.152 0.358 0.141
O 0.361 0.656 0.656
O 0.361 0.844 0.156
O 0.639 0.156 0.844
O 0.639 0.344 0.344
O 0.848 0.642 0.859
O 0.848 0.858 0.359